Calculated powder diffraction line list
Compound: Pa2SiAs3
Radiation: CuKα
Structure: a crystal structure in Alexandria, relaxed with PBE
Intensities are scaled so that the largest is 100.

The 6 most intense peaks (2θ from 5° to 70°), in order of rising 2θ:
2theta	I/Imax
24.88	100.0
31.76	65.5
33.67	38.6
38.88	95.2
40.21	54.1
45.54	49.8

Structure:
```
Pa2SiAs3
1.0
3.984 0.000 0.000
0.000 3.984 0.000
0.000 0.000 8.141
Pa Si As
2 1 3
Direct
0.000 0.500 0.218
0.500 0.000 0.782
0.000 0.000 0.500
0.000 0.500 0.856
0.500 0.000 0.144
0.500 0.500 0.500
```



Calculated powder diffraction line list
Compound: SmPa2As4
Radiation: CuKα
Structure: a crystal structure in Alexandria, relaxed with PBE
Intensities are scaled so that the largest is 100.

The 6 most intense peaks (2θ from 5° to 70°), in order of rising 2θ:
2theta	I/Imax
23.93	100.0
30.14	68.1
32.36	76.8
40.93	52.8
42.10	33.1
44.89	66.9

Structure:
```
SmPa2As4
1.0
2.050 -6.802 0.000
2.050 6.802 0.000
0.000 0.000 13.327
Sm Pa As
2 4 8
Direct
0.114 0.886 0.750
0.886 0.114 0.250
0.369 0.631 0.565
0.369 0.631 0.935
0.631 0.369 0.065
0.631 0.369 0.435
0.000 0.000 0.000
0.000 0.000 0.500
0.267 0.733 0.125
0.267 0.733 0.375
0.459 0.541 0.750
0.541 0.459 0.250
0.733 0.267 0.625
0.733 0.267 0.875
```



Calculated powder diffraction line list
Compound: SrSm2PaAs4
Radiation: CuKα
Structure: a crystal structure in Alexandria, relaxed with PBE
Intensities are scaled so that the largest is 100.

The 6 most intense peaks (2θ from 5° to 70°), in order of rising 2θ:
2theta	I/Imax
25.81	20.8
29.89	100.0
42.77	74.8
50.63	11.0
53.05	26.4
62.13	8.4

Structure:
```
SrSm2PaAs4
1.0
5.976 0.000 0.000
0.000 5.976 0.000
0.000 0.000 11.975
Sr Sm Pa As
2 4 2 8
Direct
0.000 0.000 0.000
0.500 0.500 0.500
0.000 0.000 0.500
0.000 0.500 0.250
0.500 0.000 0.750
0.500 0.500 0.000
0.000 0.500 0.750
0.500 0.000 0.250
0.000 0.000 0.256
0.000 0.000 0.744
0.000 0.500 0.513
0.000 0.500 0.987
0.500 0.000 0.013
0.500 0.000 0.487
0.500 0.500 0.244
0.500 0.500 0.756
```



Calculated powder diffraction line list
Compound: SmU2PaAs4
Radiation: CuKα
Structure: a crystal structure in Alexandria, relaxed with PBE
Intensities are scaled so that the largest is 100.

The 6 most intense peaks (2θ from 5° to 70°), in order of rising 2θ:
2theta	I/Imax
26.66	29.1
30.71	100.0
43.63	38.6
44.35	36.9
54.91	19.8
63.97	12.6

Structure:
```
SmU2PaAs4
1.0
7.079 0.000 0.000
0.000 4.083 0.000
-2.357 0.000 6.830
Sm U Pa As
1 2 1 4
Direct
0.000 0.000 0.000
0.000 0.500 0.500
0.500 0.000 0.500
0.500 0.500 0.000
0.253 0.000 0.748
0.256 0.500 0.255
0.744 0.500 0.745
0.747 0.000 0.252
```



Calculated powder diffraction line list
Compound: Sm2YPaAs5
Radiation: CuKα
Structure: a crystal structure in Alexandria, relaxed with PBE
Intensities are scaled so that the largest is 100.

The 6 most intense peaks (2θ from 5° to 70°), in order of rising 2θ:
2theta	I/Imax
8.12	71.9
23.96	62.2
24.79	100.0
32.90	46.9
35.34	83.7
49.06	61.0

Structure:
```
Sm2YPaAs5
1.0
5.079 0.000 0.000
0.000 5.079 0.000
0.000 0.000 10.889
Sm Y Pa As
2 1 1 5
Direct
0.000 0.000 0.230
0.000 0.000 0.770
0.500 0.500 0.500
0.500 0.500 0.000
0.000 0.000 0.500
0.000 0.500 0.000
0.500 0.000 0.000
0.500 0.500 0.254
0.500 0.500 0.746
```



Calculated powder diffraction line list
Compound: SmZrPa2As4
Radiation: CuKα
Structure: a crystal structure in Alexandria, relaxed with PBE
Intensities are scaled so that the largest is 100.

The 6 most intense peaks (2θ from 5° to 70°), in order of rising 2θ:
2theta	I/Imax
26.78	21.2
31.12	100.0
44.31	12.7
44.41	25.1
44.80	36.8
55.14	13.3

Structure:
```
SmZrPa2As4
1.0
6.988 0.000 0.000
0.000 4.089 0.000
-2.385 0.000 6.646
Sm Zr Pa As
1 1 2 4
Direct
0.000 0.000 0.000
0.000 0.500 0.500
0.500 0.000 0.500
0.500 0.500 0.000
0.244 0.000 0.740
0.250 0.500 0.258
0.750 0.500 0.742
0.756 0.000 0.260
```



Calculated powder diffraction line list
Compound: PaSnAs
Radiation: CuKα
Structure: a crystal structure in Alexandria, relaxed with PBE
Intensities are scaled so that the largest is 100.

The 6 most intense peaks (2θ from 5° to 70°), in order of rising 2θ:
2theta	I/Imax
26.71	46.9
31.65	57.4
32.39	88.1
37.36	100.0
43.79	58.5
55.02	49.3

Structure:
```
PaSnAs
1.0
4.135 0.000 0.000
0.000 4.135 0.000
0.000 0.000 16.964
Pa Sn As
4 4 4
Direct
0.000 0.000 0.152
0.000 0.000 0.848
0.500 0.500 0.348
0.500 0.500 0.652
0.000 0.500 0.000
0.000 0.500 0.500
0.500 0.000 0.000
0.500 0.000 0.500
0.000 0.000 0.322
0.000 0.000 0.678
0.500 0.500 0.178
0.500 0.500 0.822
```



Calculated powder diffraction line list
Compound: SrTb2PaAs4
Radiation: CuKα
Structure: a crystal structure in Alexandria, relaxed with PBE
Intensities are scaled so that the largest is 100.

The 6 most intense peaks (2θ from 5° to 70°), in order of rising 2θ:
2theta	I/Imax
26.04	22.1
30.16	100.0
43.18	74.8
51.12	11.5
53.57	26.4
62.72	12.2

Structure:
```
SrTb2PaAs4
1.0
5.926 0.000 0.000
0.000 5.926 0.000
0.000 0.000 11.850
Sr Tb Pa As
2 4 2 8
Direct
0.000 0.000 0.000
0.500 0.500 0.500
0.000 0.000 0.500
0.000 0.500 0.250
0.500 0.000 0.750
0.500 0.500 0.000
0.000 0.500 0.750
0.500 0.000 0.250
0.000 0.000 0.257
0.000 0.000 0.743
0.000 0.500 0.510
0.000 0.500 0.990
0.500 0.000 0.010
0.500 0.000 0.490
0.500 0.500 0.243
0.500 0.500 0.757
```



Calculated powder diffraction line list
Compound: Sr3TmPa3As8
Radiation: CuKα
Structure: a crystal structure in Alexandria, relaxed with PBE
Intensities are scaled so that the largest is 100.

The 6 most intense peaks (2θ from 5° to 70°), in order of rising 2θ:
2theta	I/Imax
12.38	43.8
24.77	15.0
29.63	100.0
41.82	35.8
42.97	37.5
53.06	19.6

Structure:
```
Sr3TmPa3As8
1.0
4.210 2.430 7.149
-4.210 2.430 7.149
0.000 -4.861 7.149
Sr Tm Pa As
3 1 3 8
Direct
0.000 0.500 0.500
0.500 0.000 0.500
0.500 0.500 0.000
0.500 0.500 0.500
0.000 0.000 0.500
0.000 0.500 0.000
0.500 0.000 0.000
0.227 0.743 0.743
0.240 0.240 0.240
0.257 0.257 0.773
0.257 0.773 0.257
0.743 0.227 0.743
0.743 0.743 0.227
0.760 0.760 0.760
0.773 0.257 0.257
```



Calculated powder diffraction line list
Compound: Sr4UPa3As8
Radiation: CuKα
Structure: a crystal structure in Alexandria, relaxed with PBE
Intensities are scaled so that the largest is 100.

The 6 most intense peaks (2θ from 5° to 70°), in order of rising 2θ:
2theta	I/Imax
12.40	31.0
29.47	100.0
41.74	36.5
42.58	37.8
52.63	19.9
69.93	17.2

Structure:
```
Sr4UPa3As8
1.0
4.246 2.452 7.137
-4.246 2.452 7.137
0.000 -4.903 7.137
Sr U Pa As
4 1 3 8
Direct
0.000 0.000 0.000
0.000 0.500 0.500
0.500 0.000 0.500
0.500 0.500 0.000
0.500 0.500 0.500
0.000 0.000 0.500
0.000 0.500 0.000
0.500 0.000 0.000
0.237 0.741 0.741
0.239 0.239 0.239
0.259 0.259 0.763
0.259 0.763 0.259
0.741 0.237 0.741
0.741 0.741 0.237
0.761 0.761 0.761
0.763 0.259 0.259
```



Calculated powder diffraction line list
Compound: SrZrPa2As4
Radiation: CuKα
Structure: a crystal structure in Alexandria, relaxed with PBE
Intensities are scaled so that the largest is 100.

The 6 most intense peaks (2θ from 5° to 70°), in order of rising 2θ:
2theta	I/Imax
17.05	21.8
26.56	22.3
30.76	100.0
44.06	74.7
52.19	11.3
54.69	26.3

Structure:
```
SrZrPa2As4
1.0
5.817 0.000 0.000
0.000 5.817 0.000
0.000 0.000 11.614
Sr Zr Pa As
2 2 4 8
Direct
0.000 0.000 0.000
0.500 0.500 0.500
0.000 0.500 0.750
0.500 0.000 0.250
0.000 0.000 0.500
0.000 0.500 0.250
0.500 0.000 0.750
0.500 0.500 0.000
0.000 0.000 0.257
0.000 0.000 0.743
0.000 0.500 0.503
0.000 0.500 0.997
0.500 0.000 0.003
0.500 0.000 0.497
0.500 0.500 0.243
0.500 0.500 0.757
```



Calculated powder diffraction line list
Compound: Tb5Pa3As8
Radiation: CuKα
Structure: a crystal structure in Alexandria, relaxed with PBE
Intensities are scaled so that the largest is 100.

The 6 most intense peaks (2θ from 5° to 70°), in order of rising 2θ:
2theta	I/Imax
26.53	31.1
30.73	100.0
44.01	75.0
52.13	15.7
54.64	26.5
64.00	12.4

Structure:
```
Tb5Pa3As8
1.0
4.117 2.377 6.713
-4.117 2.377 6.713
0.000 -4.754 6.713
Tb Pa As
5 3 8
Direct
0.000 0.000 0.000
0.000 0.500 0.500
0.500 0.000 0.500
0.500 0.500 0.000
0.500 0.500 0.500
0.000 0.000 0.500
0.000 0.500 0.000
0.500 0.000 0.000
0.246 0.750 0.750
0.249 0.249 0.249
0.250 0.250 0.754
0.250 0.754 0.250
0.750 0.246 0.750
0.750 0.750 0.246
0.751 0.751 0.751
0.754 0.250 0.250
```



Calculated powder diffraction line list
Compound: Th2PaAs3
Radiation: CuKα
Structure: a crystal structure in Alexandria, relaxed with PBE
Intensities are scaled so that the largest is 100.

The 6 most intense peaks (2θ from 5° to 70°), in order of rising 2θ:
2theta	I/Imax
25.99	44.7
30.10	100.0
43.08	76.0
51.01	23.3
53.45	27.1
62.57	12.7

Structure:
```
Th2PaAs3
1.0
0.000 5.941 12.602
4.196 0.000 12.602
4.196 5.941 0.000
Th Pa As
8 4 12
Direct
0.043 0.043 0.207
0.124 0.124 0.626
0.207 0.207 0.043
0.374 0.374 0.876
0.626 0.626 0.124
0.793 0.793 0.957
0.876 0.876 0.374
0.957 0.957 0.793
0.292 0.292 0.458
0.458 0.458 0.292
0.542 0.542 0.708
0.708 0.708 0.542
0.039 0.541 0.219
0.135 0.615 0.615
0.219 0.701 0.039
0.299 0.781 0.459
0.385 0.865 0.865
0.459 0.961 0.299
0.541 0.039 0.701
0.615 0.135 0.135
0.701 0.219 0.541
0.781 0.299 0.961
0.865 0.385 0.385
0.961 0.459 0.781
```